# PmPr4Y2
Computed powder XRD pattern, Cu Ka. Input: a crystal structure in Alexandria, relaxed with PBE.
Peak positions follow from Bragg's law for the DFT cell and can differ from measured ones.

The 8 most intense peaks (2θ from 10° to 90°), low angle first:
| hkl | two_theta | I_rel |
| --- | --- | --- |
| 1 7 1 | 29.74 | 100 |
| 4 2 0 | 30.23 | 37 |
| 2 0 2 | 30.99 | 64 |
| 3 5 1 | 31.65 | 36 |
| 2 2 2 | 31.85 | 28 |
| 3 7 1 | 36.47 | 26 |
| 1 7 3 | 49.69 | 21 |
| 2 14 0 | 54.30 | 21 |

Structure:
Cell lengths 12.1813, 24.6293, 6.5533 Å; angles 90.00, 90.00, 90.00 degrees
Space group Fdd2 (No. 43)
Inequivalent atoms, fractional coordinates:
Pm 0.0000 0.0000 0.0000
Pr 0.0488 0.4287 0.9881
Pr 0.0646 0.3571 0.4624
Y 0.0256 0.2836 0.9401